No. 1
For Na2SnF6, a crystal structure in the Materials Project, relaxed with PBE gives the calculated X-ray powder pattern in this record (Cu Ka).
Lines closer than 0.1° are merged.

Atomic structure:
Unit cell a=5.1570 b=5.1570 c=10.2803 alpha=90.00 beta=90.00 gamma=90.00
Sites, in units of the cell vectors:
Na1 0.0000 0.0000 0.1635
Na2 0.0000 0.0000 0.8365
Na3 0.5000 0.5000 0.3365
Na4 0.5000 0.5000 0.6635
Sn1 0.0000 0.0000 0.5000
Sn2 0.5000 0.5000 0.0000
F1 0.1855 0.1855 0.3555
F2 0.1855 0.1855 0.6445
F3 0.2244 0.2244 0.0000
F4 0.2756 0.7244 0.5000
F5 0.3145 0.6855 0.1445
F6 0.3145 0.6855 0.8555
F7 0.6855 0.3145 0.1445
F8 0.6855 0.3145 0.8555
F9 0.7244 0.2756 0.5000
F10 0.7756 0.7756 0.0000
F11 0.8145 0.8145 0.3555
F12 0.8145 0.8145 0.6445

Top 6 peaks for 2θ = 15–90°, in order of falling intensity:
d (Å)  2θ (°)  I_rel
4.610  19.26  100
3.647  24.41  82
1.913  47.53  68
2.854  31.34  47
5.140  17.25  39
1.536  60.25  33



No. 2
For NaSrTiF6, a crystal structure in the Materials Project, relaxed with PBE gives the calculated X-ray powder pattern in this record (Cu Ka).
Lines closer than 0.1° are merged.

Atomic structure:
Unit cell a=5.5222 b=9.6151 c=10.4639 alpha=90.00 beta=90.00 gamma=90.00
Sites, in units of the cell vectors:
Na1 0.0439 0.1479 0.0846
Na2 0.4561 0.8521 0.5846
Na3 0.5439 0.3521 0.9154
Na4 0.9561 0.6479 0.4154
Sr1 0.0065 0.6872 0.8243
Sr2 0.4935 0.3128 0.3243
Sr3 0.5065 0.8128 0.1757
Sr4 0.9935 0.1872 0.6757
Ti1 0.0374 0.4993 0.1259
Ti2 0.4626 0.5007 0.6259
Ti3 0.5374 0.0007 0.8741
Ti4 0.9626 0.9993 0.3741
F1 0.1429 0.9972 0.5343
F2 0.1616 0.8359 0.3169
F3 0.2064 0.6444 0.5881
F4 0.2139 0.1240 0.2958
F5 0.2207 0.5193 0.2855
F6 0.2208 0.6634 0.0462
F7 0.2792 0.3366 0.5462
F8 0.2793 0.4807 0.7855
F9 0.2861 0.8760 0.7958
F10 0.2936 0.3556 0.0881
F11 0.3384 0.1641 0.8169
F12 0.3571 0.0028 0.0343
F13 0.6429 0.5028 0.4657
F14 0.6616 0.6641 0.6831
F15 0.7064 0.8556 0.4119
F16 0.7139 0.3760 0.7042
F17 0.7208 0.8366 0.9538
F18 0.7207 0.9807 0.7145
F19 0.7793 0.0193 0.2145
F20 0.7792 0.1634 0.4538
F21 0.7861 0.6240 0.2042
F22 0.7936 0.1444 0.9119
F23 0.8384 0.3359 0.1831
F24 0.8571 0.4972 0.9657

Top 6 peaks for 2θ = 15–90°, in order of falling intensity:
d (Å)  2θ (°)  I_rel
3.533  25.21  100
3.426  26.01  87
4.358  20.38  81
1.942  46.77  71
3.626  24.55  60
2.819  31.74  29



No. 3
For Na3TaF8, a crystal structure in the Materials Project, relaxed with PBE gives the calculated X-ray powder pattern in this record (Cu Ka).
Lines closer than 0.1° are merged.

Atomic structure:
Unit cell a=6.4749 b=6.4749 c=11.3514 alpha=117.89 beta=117.89 gamma=49.75
Sites, in units of the cell vectors:
Na1 0.0000 0.0000 0.0000
Na2 0.0000 0.0000 0.5000
Na3 0.2753 0.2881 0.8972
Na4 0.2881 0.2753 0.3972
Na5 0.7119 0.7247 0.6028
Na6 0.7247 0.7119 0.1028
Ta1 0.4371 0.5629 0.7500
Ta2 0.5629 0.4371 0.2500
F1 0.1091 0.6752 0.5839
F2 0.1103 0.6284 0.7855
F3 0.2047 0.4530 0.1397
F4 0.3248 0.8909 0.9161
F5 0.3414 0.6253 0.3888
F6 0.3716 0.8897 0.7145
F7 0.3747 0.6586 0.1112
F8 0.4530 0.2047 0.6397
F9 0.5470 0.7953 0.3603
F10 0.6253 0.3414 0.8888
F11 0.6284 0.1103 0.2855
F12 0.6586 0.3747 0.6112
F13 0.6752 0.1091 0.0839
F14 0.7953 0.5470 0.8603
F15 0.8897 0.3716 0.2145
F16 0.8909 0.3248 0.4161

Top 6 peaks for 2θ = 15–90°, in order of falling intensity:
d (Å)  2θ (°)  I_rel
4.791  18.52  100
5.029  17.64  88
3.930  22.63  50
3.137  28.45  44
3.058  29.20  41
4.863  18.24  32



No. 4
For Na2TcF6, a crystal structure in the Materials Project, relaxed with PBE gives the calculated X-ray powder pattern in this record (Cu Ka).
Lines closer than 0.1° are merged.

Atomic structure:
Unit cell a=5.6202 b=5.6202 c=4.3727 alpha=90.00 beta=90.00 gamma=120.00
Sites, in units of the cell vectors:
Na1 0.3333 0.6667 0.1869
Na2 0.6667 0.3333 0.8131
Tc1 0.0000 0.0000 0.5000
F1 0.1706 0.3412 0.7414
F2 0.1706 0.8294 0.7414
F3 0.3412 0.1706 0.2586
F4 0.6588 0.8294 0.7414
F5 0.8294 0.1706 0.2586
F6 0.8294 0.6588 0.2586

Top 6 peaks for 2θ = 15–90°, in order of falling intensity:
d (Å)  2θ (°)  I_rel
3.253  27.42  100
4.867  18.23  97
2.126  42.51  73
2.810  31.85  33
1.696  54.08  29
1.626  56.59  29



No. 5
For Na2TiF6, a crystal structure in the Materials Project, relaxed with PBE gives the calculated X-ray powder pattern in this record (Cu Ka).
Lines closer than 0.1° are merged.

Atomic structure:
Unit cell a=9.6836 b=9.6836 c=4.7112 alpha=90.00 beta=90.00 gamma=120.00
Sites, in units of the cell vectors:
Na1 0.0000 0.3427 0.0000
Na2 0.0000 0.6573 0.0000
Na3 0.3427 0.0000 0.0000
Na4 0.3427 0.3427 0.0000
Na5 0.6573 0.0000 0.0000
Na6 0.6573 0.6573 0.0000
Ti1 0.0000 0.0000 0.0000
Ti2 0.3333 0.6667 0.5010
Ti3 0.6667 0.3333 0.4990
F1 0.0955 0.1911 0.2153
F2 0.0955 0.9045 0.2153
F3 0.1464 0.5732 0.2704
F4 0.1911 0.0955 0.7847
F5 0.2404 0.4808 0.7302
F6 0.2404 0.7596 0.7302
F7 0.4268 0.5732 0.2704
F8 0.4268 0.8536 0.2704
F9 0.4808 0.2404 0.2698
F10 0.5192 0.7596 0.7302
F11 0.5732 0.1464 0.7296
F12 0.5732 0.4268 0.7296
F13 0.7596 0.2404 0.2698
F14 0.7596 0.5192 0.2698
F15 0.8089 0.9045 0.2153
F16 0.8536 0.4268 0.7296
F17 0.9045 0.0955 0.7847
F18 0.9045 0.8089 0.7847

Top 6 peaks for 2θ = 15–90°, in order of falling intensity:
d (Å)  2θ (°)  I_rel
2.404  37.41  100
1.801  50.68  83
4.842  18.32  82
4.107  21.64  74
3.377  26.40  46
1.614  57.07  41



No. 6
For Na2TiF6, a crystal structure in the Materials Project, relaxed with PBE gives the calculated X-ray powder pattern in this record (Cu Ka).
Lines closer than 0.1° are merged.

Atomic structure:
Unit cell a=9.3229 b=9.3229 c=5.2377 alpha=90.00 beta=90.00 gamma=120.00
Sites, in units of the cell vectors:
Na1 0.0000 0.2895 0.0000
Na2 0.0000 0.6244 0.5000
Na3 0.2895 0.0000 0.0000
Na4 0.3756 0.3756 0.5000
Na5 0.6244 0.0000 0.5000
Na6 0.7105 0.7105 0.0000
Ti1 0.0000 0.0000 0.5000
Ti2 0.3333 0.6667 0.9939
Ti3 0.6667 0.3333 0.0061
F1 0.0857 0.8929 0.7060
F2 0.1071 0.1928 0.7060
F3 0.1418 0.5462 0.7873
F4 0.1928 0.1071 0.2940
F5 0.2207 0.7466 0.1992
F6 0.2534 0.4741 0.1992
F7 0.4044 0.8582 0.7873
F8 0.4538 0.5956 0.7873
F9 0.4741 0.2534 0.8008
F10 0.5259 0.7793 0.1992
F11 0.5462 0.1418 0.2127
F12 0.5956 0.4538 0.2127
F13 0.7466 0.2207 0.8008
F14 0.7793 0.5259 0.8008
F15 0.8072 0.9143 0.7060
F16 0.8582 0.4044 0.2127
F17 0.8929 0.0857 0.2940
F18 0.9143 0.8072 0.2940

Top 6 peaks for 2θ = 15–90°, in order of falling intensity:
d (Å)  2θ (°)  I_rel
4.394  20.21  100
2.394  37.57  95
1.877  48.50  94
4.661  19.04  80
3.482  25.58  69
3.197  27.90  63